Na3CoF4: calculated XRD peak list (Cu Kα, 1.54184 Å), based on a crystal structure in Alexandria, relaxed with PBE+U.

Main lines, sorted by position (2θ = 10–80°):
| 2theta | d (Å) | intensity | index |
| --- | --- | --- | --- |
| 19.24 | 4.614 | 9.8 | 0 0 2 |
| 21.40 | 4.152 | 33.1 | 1 0 1 |
| 27.12 | 3.288 | 8.3 | 1 1 0 |
| 33.47 | 2.678 | 21.0 | 1 1 2 |
| 38.73 | 2.325 | 100.0 | 2 0 0 |
| 39.05 | 2.307 | 48.5 | 0 0 4 |
| 44.67 | 2.029 | 8.9 | 2 1 1 |
| 55.93 | 1.644 | 29.4 | 2 2 0 |
| 56.17 | 1.638 | 57.7 | 2 0 4 |
| 70.32 | 1.339 | 25.7 | 2 2 4 |

```
data_Na3CoF4
_chemical_formula_sum 'Na6 Co2 F8'
_space_group_name_H-M_alt 'I 4/m m m'
_space_group_IT_number 139
_space_group_name_Hall '-I 4 2'
_cell_length_a 4.650
_cell_length_b 4.650
_cell_length_c 9.227
_cell_angle_alpha 90.00
_cell_angle_beta 90.00
_cell_angle_gamma 90.00
loop_
_atom_site_label
_atom_site_type_symbol
_atom_site_fract_x
_atom_site_fract_y
_atom_site_fract_z
Na1 Na 0.000 0.000 0.000
Na2 Na 0.000 0.500 0.250
Co1 Co 0.000 0.000 0.500
F1 F 0.000 0.000 0.257
F2 F 0.000 0.500 0.000
```